# Pm4Sm2DySc
Theoretical XRD peak list, Cu Kα, 1.54184 Å. Input: a structure optimized by DFT (PBE).
Neutral-atom scattering factors, no anomalous dispersion.

Most intense lines, 10 to 80 degrees two-theta, low angle first:
(1 0 1), 19.57°, rel. 2.2
(1 1 2), 30.57°, rel. 100.0
(0 2 0), 35.26°, rel. 17.1
(2 0 0), 35.37°, rel. 17.0
(0 0 4), 35.70°, rel. 16.4
(2 2 0), 50.80°, rel. 12.1
(0 2 4), 51.07°, rel. 17.7
(2 0 4), 51.15°, rel. 5.9
(1 3 2), 60.38°, rel. 14.3
(3 1 2), 60.54°, rel. 14.2
(1 1 6), 60.97°, rel. 13.7
(2 2 4), 63.63°, rel. 12.2

Atomic structure:
a b c (Å): 5.075 5.091 10.061
angles (deg): 90.00 90.04 90.00
Space group P2/m (No. 10)
Unique sites:
Pm (0.000, 0.000, 0.245) [2 per cell]
Pm (0.500, 0.500, 0.246) [2 per cell]
Sm (0.000, 0.500, 0.000) [1 per cell]
Sm (0.500, 0.000, 0.500) [1 per cell]
Dy (0.000, 0.500, 0.500) [1 per cell]
Sc (0.500, 0.000, 0.000) [1 per cell]